LiTi2O4: computed powder X-ray diffraction pattern (Cu Ka), based on a DFT-relaxed cell (PBE, the Materials Project).

Cell and atoms:
Cell: 5.9602 5.9602 5.9602 Å, 120.20 119.58 90.19°
Sites, in units of the cell vectors:
Li 0.5000 0.0000 0.0000
Li 0.5000 0.5000 0.5000
Ti 0.0000 0.0000 0.0000
Ti 0.0000 0.0000 0.5000
Ti 0.0000 0.5000 0.0000
Ti 0.5000 0.0000 0.5000
O 0.2199 0.2372 0.9827
O 0.2398 0.2116 0.4718
O 0.2398 0.7680 0.0282
O 0.2454 0.7628 0.4827
O 0.7546 0.2372 0.5173
O 0.7602 0.2320 0.9718
O 0.7602 0.7884 0.5282
O 0.7801 0.7628 0.0173

Principal peaks in the range 2θ from 15° to 90°, sorted by position:
| two_theta | I (rel.) |
| --- | --- |
| 18.16 | 74 |
| 18.28 | 100 |
| 35.18 | 22 |
| 35.36 | 38 |
| 42.85 | 79 |
| 42.99 | 39 |
| 56.80 | 18 |
| 61.88 | 11 |
| 62.31 | 41 |
| 62.52 | 10 |
| 65.53 | 9 |
| 78.30 | 9 |

***

LiLaAu2: computed powder X-ray diffraction pattern (Cu Ka), based on a DFT-relaxed cell (PBE, the Materials Project).

Cell and atoms:
Cell: 5.0837 5.0837 5.0837 Å, 60.00 60.00 60.00°
Sites, in units of the cell vectors:
Li 0.0000 0.0000 0.0000
La 0.5000 0.5000 0.5000
Au 0.2500 0.2500 0.2500
Au 0.7500 0.7500 0.7500

Principal peaks in the range 2θ from 15° to 90°, sorted by position:
| two_theta | I (rel.) |
| --- | --- |
| 21.41 | 14 |
| 24.77 | 27 |
| 35.31 | 100 |
| 41.67 | 8 |
| 43.61 | 8 |
| 50.80 | 18 |
| 55.73 | 3 |
| 57.31 | 12 |
| 63.38 | 37 |
| 74.69 | 12 |
| 80.09 | 6 |
| 85.40 | 17 |

***

Zn5Si2N6: computed powder X-ray diffraction pattern (Cu Ka), based on a DFT-relaxed cell (PBE, the Materials Project).

Cell and atoms:
Cell: 5.2387 5.2387 13.3599 Å, 92.22 92.22 64.56°
Sites, in units of the cell vectors:
Zn 0.0434 0.9566 0.7500
Zn 0.1207 0.6503 0.4625
Zn 0.2900 0.4262 0.2727
Zn 0.3497 0.8793 0.0375
Zn 0.4262 0.2900 0.7727
Zn 0.5738 0.7100 0.2273
Zn 0.6503 0.1207 0.9625
Zn 0.7100 0.5738 0.7273
Zn 0.8793 0.3497 0.5375
Zn 0.9566 0.0434 0.2500
Si 0.0441 0.5317 0.0929
Si 0.4683 0.9559 0.4071
Si 0.5317 0.0441 0.5929
Si 0.9559 0.4683 0.9071
N 0.0506 0.5934 0.8025
N 0.2158 0.7300 0.1413
N 0.2317 0.2776 0.9967
N 0.2700 0.7842 0.3587
N 0.2776 0.2317 0.4967
N 0.4066 0.9494 0.6975
N 0.5934 0.0506 0.3025
N 0.7224 0.7683 0.5033
N 0.7300 0.2158 0.6413
N 0.7683 0.7224 0.0033
N 0.7842 0.2700 0.8587
N 0.9494 0.4066 0.1975

Principal peaks in the range 2θ from 15° to 90°, sorted by position:
| two_theta | I (rel.) |
| --- | --- |
| 20.07 | 32 |
| 24.65 | 26 |
| 26.72 | 55 |
| 27.87 | 49 |
| 32.71 | 23 |
| 34.37 | 31 |
| 34.77 | 100 |
| 36.46 | 30 |
| 37.52 | 21 |
| 39.16 | 22 |
| 43.14 | 21 |
| 46.53 | 24 |

***

BaSrMg6O8: computed powder X-ray diffraction pattern (Cu Ka), based on a DFT-relaxed cell (PBE, the Materials Project).

Cell and atoms:
Cell: 4.7435 4.7435 9.4793 Å, 90.00 90.00 90.00°
Sites, in units of the cell vectors:
Ba 0.0000 0.0000 0.0000
Sr 0.0000 0.0000 0.5000
Mg 0.0000 0.5000 0.2606
Mg 0.0000 0.5000 0.7394
Mg 0.5000 0.0000 0.2606
Mg 0.5000 0.0000 0.7394
Mg 0.5000 0.5000 0.0000
Mg 0.5000 0.5000 0.5000
O 0.0000 0.0000 0.2598
O 0.0000 0.0000 0.7402
O 0.0000 0.5000 0.0000
O 0.0000 0.5000 0.5000
O 0.5000 0.0000 0.0000
O 0.5000 0.0000 0.5000
O 0.5000 0.5000 0.2585
O 0.5000 0.5000 0.7415

Principal peaks in the range 2θ from 15° to 90°, sorted by position:
| two_theta | I (rel.) |
| --- | --- |
| 18.71 | 66 |
| 26.58 | 57 |
| 32.71 | 45 |
| 37.95 | 100 |
| 42.63 | 32 |
| 46.93 | 24 |
| 54.75 | 62 |
| 58.38 | 16 |
| 61.87 | 11 |
| 65.25 | 22 |
| 68.55 | 20 |
| 74.93 | 13 |

***

Y2FeSi2: computed powder X-ray diffraction pattern (Cu Ka), based on a DFT-relaxed cell (PBE, the Materials Project).

Cell and atoms:
Cell: 5.6791 5.6791 10.0171 Å, 117.05 117.05 42.96°
Sites, in units of the cell vectors:
Y 0.0002 0.0002 0.1719
Y 0.9998 0.9998 0.8281
Y 0.1885 0.1885 0.6090
Y 0.8115 0.8115 0.3910
Fe 0.2721 0.2721 0.1239
Fe 0.7279 0.7279 0.8761
Si 0.3443 0.3443 0.9357
Si 0.4994 0.4994 0.6261
Si 0.5006 0.5006 0.3739
Si 0.6557 0.6557 0.0643

Principal peaks in the range 2θ from 15° to 90°, sorted by position:
| two_theta | I (rel.) |
| --- | --- |
| 23.47 | 42 |
| 27.06 | 33 |
| 33.58 | 78 |
| 33.94 | 94 |
| 34.29 | 100 |
| 34.50 | 29 |
| 34.87 | 67 |
| 37.33 | 71 |
| 41.33 | 39 |
| 41.70 | 63 |
| 43.52 | 70 |
| 65.86 | 35 |

***

SiAs3: computed powder X-ray diffraction pattern (Cu Ka), based on a DFT-relaxed cell (PBE, the Materials Project).

Cell and atoms:
Cell: 5.9481 5.9481 5.1704 Å, 90.00 90.00 120.00°
Sites, in units of the cell vectors:
Si 0.3333 0.6667 0.2500
Si 0.6667 0.3333 0.7500
As 0.1871 0.3742 0.7500
As 0.1871 0.8129 0.7500
As 0.3742 0.1871 0.2500
As 0.6258 0.8129 0.7500
As 0.8129 0.1871 0.2500
As 0.8129 0.6258 0.2500

Principal peaks in the range 2θ from 15° to 90°, sorted by position:
| two_theta | I (rel.) |
| --- | --- |
| 24.39 | 30 |
| 34.70 | 35 |
| 34.83 | 24 |
| 39.07 | 100 |
| 46.65 | 10 |
| 49.99 | 17 |
| 56.47 | 9 |
| 59.43 | 9 |
| 62.45 | 13 |
| 65.12 | 22 |
| 73.47 | 17 |
| 76.18 | 10 |